Entry 1:
For LiB4H4, DFT lattice parameters and positions (PBE) gives the theoretical powder X-ray diffraction pattern in this record (Cu Kα (λ = 1.5418 Å)).

Structural model:
```
data_LiB4H4
_chemical_formula_sum 'Li4 B16 H16'
_space_group_name_H-M_alt 'I -4 2 m'
_space_group_IT_number 121
_space_group_name_Hall 'I -4 2'
_cell_length_a 5.5201
_cell_length_b 5.5201
_cell_length_c 10.5785
_cell_angle_alpha 90.00
_cell_angle_beta 90.00
_cell_angle_gamma 90.00
loop_
_atom_site_label
_atom_site_fract_x
_atom_site_fract_y
_atom_site_fract_z
Li1 0.0000 0.5000 0.2500
B1 0.1031 0.1031 0.3756
B2 0.1622 0.1622 0.5307
H1 0.1885 0.1885 0.0579
H2 0.2039 0.2039 0.2886
```

Largest 10 diffraction maxima, in order of rising 2θ, 2θ = 10–90°:
2θ (°)	I_rel	hkl
16.76	11.9	0 0 2
18.13	100.0	1 0 1
22.78	11.1	1 1 0
28.42	7.4	1 1 2
36.73	4.6	2 0 2
37.41	2.7	2 1 1
41.23	7.2	1 1 4
50.33	3.7	3 0 1
52.42	4.0	3 1 0
57.35	5.7	1 1 6

---

Entry 2:
For TbNdSm2Se4, DFT lattice parameters and positions (PBE) gives the theoretical powder X-ray diffraction pattern in this record (Cu Kα (λ = 1.5418 Å)).

Structural model:
```
data_TbNdSm2Se4
_chemical_formula_sum 'Tb1 Nd1 Sm2 Se4'
_space_group_name_H-M_alt 'P 1 2/m 1'
_space_group_IT_number 10
_space_group_name_Hall '-P 2y'
_cell_length_a 7.2161
_cell_length_b 4.1205
_cell_length_c 7.2851
_cell_angle_alpha 90.00
_cell_angle_beta 108.89
_cell_angle_gamma 90.00
loop_
_atom_site_label
_atom_site_fract_x
_atom_site_fract_y
_atom_site_fract_z
Tb1 0.0000 0.0000 0.0000
Nd1 0.0000 0.5000 0.5000
Sm1 0.5000 0.0000 0.5000
Sm2 0.5000 0.5000 0.0000
Se1 0.2466 0.5000 0.2433
Se2 0.2509 0.0000 0.7560
```

Largest 10 diffraction maxima, in order of rising 2θ, 2θ = 10–90°:
2θ (°)	I_rel	hkl
26.38	8.8	1 1 -1
30.32	100.0	1 1 1
42.90	12.8	2 0 2
43.25	25.0	1 1 -3
43.57	24.6	3 1 -1
43.95	12.0	0 2 0
54.32	12.8	2 2 -2
63.08	12.2	2 2 2
71.34	11.2	0 2 4
71.80	11.1	4 2 0

---

Entry 3:
For Dy5Y2In3, DFT lattice parameters and positions (PBE) gives the theoretical powder X-ray diffraction pattern in this record (Cu Kα (λ = 1.5418 Å)).

Structural model:
```
data_Dy5Y2In3
_chemical_formula_sum 'Dy20 Y8 In12'
_space_group_name_H-M_alt 'I b a m'
_space_group_IT_number 72
_space_group_name_Hall '-I 2 2c'
_cell_length_a 12.5891
_cell_length_b 15.1897
_cell_length_c 6.5499
_cell_angle_alpha 90.00
_cell_angle_beta 90.00
_cell_angle_gamma 90.00
loop_
_atom_site_label
_atom_site_fract_x
_atom_site_fract_y
_atom_site_fract_z
Dy1 0.0000 0.0000 0.2500
Dy2 0.0770 0.3399 0.0000
Dy3 0.2416 0.5000 0.2500
Y1 0.1482 0.2011 0.5000
In1 0.0000 0.5000 0.2500
In2 0.1368 0.1482 0.0000
```

Largest 10 diffraction maxima, in order of rising 2θ, 2θ = 10–90°:
2θ (°)	I_rel	hkl
11.65	28.1	0 2 0
20.42	32.0	2 1 1
29.71	100.0	0 2 2
30.75	71.1	4 2 0
35.46	44.7	0 6 0
35.56	32.7	2 5 1
36.22	57.2	0 4 2
37.10	39.0	4 4 0
39.72	58.9	4 0 2
54.29	33.8	4 6 2